(1)
Structure and calculated powder X-ray diffraction pattern of HoTlBi2O6 (a structure optimized by DFT (PBE); Cu Kα).
Peak positions follow from Bragg's law for the DFT cell and can differ from measured ones.

Crystal structure
```
HoTlBi2O6
1.0
3.0112 1.7385 5.0899
-3.0112 1.7385 5.0899
0.0000 -3.4770 5.0899
Ho Tl Bi O
1 1 2 6
Direct
0.0000 0.0000 0.0000 Ho
0.5038 0.5038 0.5038 Tl
0.2884 0.2884 0.2884 Bi
0.7844 0.7844 0.7844 Bi
0.1250 0.6878 0.3569 O
0.1801 0.6332 0.8603 O
0.3569 0.1250 0.6878 O
0.6332 0.8603 0.1801 O
0.6878 0.3569 0.1250 O
0.8603 0.1801 0.6332 O
```

Peak list (10 most intense, 5 to 70 degrees two-theta, by intensity)
| d [Å] | I/Imax |
| --- | --- |
| 3.011 | 1000 |
| 3.080 | 925 |
| 1.752 | 413 |
| 2.153 | 398 |
| 1.944 | 281 |
| 1.739 | 265 |
| 4.307 | 170 |
| 1.353 | 160 |
| 1.506 | 140 |
| 1.792 | 118 |



(2)
Structure and calculated powder X-ray diffraction pattern of Dy4TiGa12 (a structure optimized by DFT (PBE); Cu Kα).
Peak positions follow from Bragg's law for the DFT cell and can differ from measured ones.

Crystal structure
```
Dy4TiGa12
1.0
-4.3444 4.3444 4.3444
4.3444 -4.3444 4.3444
4.3444 4.3444 -4.3444
Dy Ti Ga
4 1 12
Direct
0.0000 0.0000 0.5000 Dy
0.0000 0.5000 0.0000 Dy
0.5000 0.0000 0.0000 Dy
0.5000 0.5000 0.5000 Dy
0.0000 0.0000 0.0000 Ti
0.0000 0.2959 0.2959 Ga
0.0000 0.7041 0.7041 Ga
0.2500 0.5000 0.7500 Ga
0.2500 0.7500 0.5000 Ga
0.2959 0.0000 0.2959 Ga
0.2959 0.2959 0.0000 Ga
0.5000 0.2500 0.7500 Ga
0.5000 0.7500 0.2500 Ga
0.7041 0.0000 0.7041 Ga
0.7041 0.7041 0.0000 Ga
0.7500 0.2500 0.5000 Ga
0.7500 0.5000 0.2500 Ga
```

Peak list (10 most intense, 5 to 70 degrees two-theta, by intensity)
| d [Å] | I/Imax |
| --- | --- |
| 2.508 | 1000 |
| 2.172 | 550 |
| 1.536 | 319 |
| 3.072 | 256 |
| 4.344 | 114 |
| 1.943 | 97 |
| 1.374 | 80 |
| 1.774 | 69 |
| 1.448 | 60 |
| 1.852 | 52 |



(3)
Structure and calculated powder X-ray diffraction pattern of Cu5HPd6 (a structure optimized by DFT (PBE); Cu Kα).
Peak positions follow from Bragg's law for the DFT cell and can differ from measured ones.

Crystal structure
```
Cu5HPd6
1.0
4.1414 0.0000 0.0000
-0.0034 6.3457 0.0000
-2.0430 -3.1714 6.1100
Cu H Pd
5 1 6
Direct
0.0000 0.0000 0.0000 Cu
0.0192 0.5279 0.0411 Cu
0.3404 0.8507 0.6862 Cu
0.3607 0.3634 0.7270 Cu
0.6809 0.6940 0.3635 Cu
0.6302 0.3959 0.3635 H
0.1787 0.9612 0.3634 Pd
0.1807 0.4105 0.3636 Pd
0.5186 0.7888 0.0393 Pd
0.5239 0.2599 0.0475 Pd
0.8376 0.5759 0.6795 Pd
0.8407 0.1129 0.6875 Pd
```

Peak list (10 most intense, 5 to 70 degrees two-theta, by intensity)
| d [Å] | I/Imax |
| --- | --- |
| 2.143 | 1000 |
| 2.139 | 332 |
| 2.071 | 321 |
| 2.037 | 281 |
| 1.586 | 112 |
| 1.455 | 91 |
| 1.449 | 90 |
| 3.173 | 89 |
| 2.910 | 79 |
| 2.898 | 79 |